Entry 1:
Starting from a crystal structure in the Materials Project, relaxed with GGA-PBE, the X-ray diffraction stick pattern of GdBO3 was computed for Cu Kα.

Principal peaks in the range 2θ = 5–70°, sorted by position:
2θ (°), I/Imax, index
18.1, 57, 0 0 3
27.9, 81, 1 1 0
33.5, 100, 1 1 3
36.8, 13, 0 0 6
46.8, 57, 1 1 6
49.3, 26, 3 0 0
53.0, 30, 3 0 3
60.9, 20, 2 2 3
63.0, 13, 3 0 6
64.1, 16, 1 1 9

Atomic structure:
```
data_GdBO3
_cell_length_a 6.4039
_cell_length_b 6.4039
_cell_length_c 14.6656
_cell_angle_alpha 90.00
_cell_angle_beta 90.00
_cell_angle_gamma 120.00
_symmetry_space_group_name_H-M 'R 3 2'
_symmetry_Int_Tables_number 155
_symmetry_space_group_name_Hall 'R 3 2"'
loop_
_atom_site_label
_atom_site_type_symbol
_atom_site_fract_x
_atom_site_fract_y
_atom_site_fract_z
Gd1 Gd 0.0000 0.3318 0.0000
B1 B 0.0000 0.7574 0.5000
O1 O 0.0000 0.2235 0.5000
O2 O 0.9998 0.6447 0.4137
```

---

Entry 2:
Starting from a crystal structure in the Materials Project, relaxed with GGA-PBE, the X-ray diffraction stick pattern of MgH8C6S2N2O8 was computed for Cu Kα.

Principal peaks in the range 2θ = 5–70°, sorted by position:
2θ (°), I/Imax, index
17.0, 42, 0 1 -1
18.8, 10, 1 1 0
20.1, 9, 1 0 1
20.3, 16, 1 1 1
26.8, 100, 1 1 2
31.0, 9, 1 1 -2
34.6, 11, -1 1 2
36.9, 12, 2 0 0
37.0, 9, 1 3 0
45.2, 10, 2 1 3

Atomic structure:
```
data_MgH8C6S2N2O8
_cell_length_a 5.155
_cell_length_b 7.448
_cell_length_c 8.229
_cell_angle_alpha 85.07
_cell_angle_beta 81.97
_cell_angle_gamma 72.22
_symmetry_space_group_name_H-M 'P -1'
_symmetry_Int_Tables_number 2
loop_
_symmetry_equiv_pos_as_xyz
'x,y,z'
'-x,-y,-z'
loop_
_atom_site_label
_atom_site_type_symbol
_atom_site_fract_x
_atom_site_fract_y
_atom_site_fract_z
Mg1 Mg 0.000 0.000 0.000
H1 H 0.239 0.631 0.097
H2 H 0.260 0.196 0.770
H3 H 0.461 0.703 0.981
H4 H 0.487 0.007 0.819
C1 C 0.109 0.298 0.206
C2 C 0.138 0.618 0.675
C3 C 0.480 0.416 0.538
S1 S 0.272 0.774 0.547
N1 N 0.264 0.435 0.657
O1 O 0.164 0.121 0.188
O2 O 0.247 0.403 0.136
O3 O 0.280 0.748 0.050
O4 O 0.286 0.065 0.816
```

---

Entry 3:
Starting from a crystal structure in the Materials Project, relaxed with GGA-PBE, the X-ray diffraction stick pattern of La7Ni3 was computed for Cu Kα.

Principal peaks in the range 2θ = 5–70°, sorted by position:
2θ (°), I/Imax, index
26.9, 18, 2 1 0
29.4, 40, 1 0 2
30.3, 100, 2 1 1
33.7, 35, 3 0 1
34.5, 38, 2 0 2
35.5, 34, 2 2 0
52.8, 27, 3 0 3
53.7, 23, 3 2 2
54.3, 24, 5 0 1
54.5, 15, 3 3 0

Atomic structure:
```
data_La7Ni3
_cell_length_a 10.1094
_cell_length_b 10.1094
_cell_length_c 6.4683
_cell_angle_alpha 90.00
_cell_angle_beta 90.00
_cell_angle_gamma 120.00
_symmetry_space_group_name_H-M 'P 63 m c'
_symmetry_Int_Tables_number 186
_symmetry_space_group_name_Hall 'P 6c -2c'
loop_
_atom_site_label
_atom_site_type_symbol
_atom_site_fract_x
_atom_site_fract_y
_atom_site_fract_z
La1 La 0.0764 0.5382 0.0000
La2 La 0.1265 0.2530 0.6721
La3 La 0.3333 0.6667 0.4606
Ni1 Ni 0.1872 0.3744 0.2314
```

---

Entry 4:
Starting from a crystal structure in the Materials Project, relaxed with GGA-PBE, the X-ray diffraction stick pattern of TlVCl3 was computed for Cu Kα.

Principal peaks in the range 2θ = 5–70°, sorted by position:
2θ (°), I/Imax, index
20.3, 93, 1 0 1
25.3, 62, 1 1 0
28.5, 23, 0 0 2
32.2, 23, 1 0 2
32.7, 100, 2 0 1
41.4, 30, 2 0 2
41.8, 27, 2 1 1
49.1, 19, 2 1 2
52.0, 23, 2 2 0
53.2, 24, 2 0 3

Atomic structure:
```
data_TlVCl3
_cell_length_a 7.0393
_cell_length_b 7.0393
_cell_length_c 6.2580
_cell_angle_alpha 90.00
_cell_angle_beta 90.00
_cell_angle_gamma 120.00
_symmetry_space_group_name_H-M 'P 63/m m c'
_symmetry_Int_Tables_number 194
_symmetry_space_group_name_Hall '-P 6c 2c'
loop_
_atom_site_label
_atom_site_type_symbol
_atom_site_fract_x
_atom_site_fract_y
_atom_site_fract_z
Tl1 Tl 0.3333 0.6667 0.2500
V1 V 0.0000 0.0000 0.0000
Cl1 Cl 0.1585 0.3171 0.7500
```

---

Entry 5:
Starting from a crystal structure in the Materials Project, relaxed with GGA-PBE, the X-ray diffraction stick pattern of Ba6Nd2Al4O15 was computed for Cu Kα.

Principal peaks in the range 2θ = 5–70°, sorted by position:
2θ (°), I/Imax, index
20.4, 17, 0 1 3
28.6, 54, 0 0 6
29.6, 53, 0 2 0
30.0, 100, 2 1 -3
30.6, 94, 2 1 3
41.6, 50, 0 2 6
45.1, 22, 4 0 0
51.2, 21, 2 1 -9
52.2, 16, 2 1 9
52.8, 16, 2 3 -3

Atomic structure:
```
data_Ba6Nd2Al4O15
_cell_length_a 8.037
_cell_length_b 6.043
_cell_length_c 18.757
_cell_angle_alpha 90.00
_cell_angle_beta 91.33
_cell_angle_gamma 90.00
_symmetry_space_group_name_H-M 'P 1 2/c 1'
_symmetry_Int_Tables_number 13
loop_
_symmetry_equiv_pos_as_xyz
'x,y,z'
'-x,-y,-z'
'-x,y,-z+1/2'
'x,-y,z+1/2'
loop_
_atom_site_label
_atom_site_type_symbol
_atom_site_fract_x
_atom_site_fract_y
_atom_site_fract_z
Ba1 Ba 0.000 0.168 0.250
Ba2 Ba 0.003 0.257 0.916
Ba3 Ba 0.466 0.241 0.909
Ba4 Ba 0.500 0.226 0.250
Nd1 Nd 0.252 0.247 0.090
Al1 Al 0.253 0.253 0.442
Al2 Al 0.281 0.275 0.735
O1 O 0.045 0.255 0.405
O2 O 0.196 0.186 0.815
O3 O 0.230 0.466 0.195
O4 O 0.250 0.062 0.668
O5 O 0.262 0.493 0.499
O6 O 0.265 0.011 0.498
O7 O 0.439 0.259 0.391
O8 O 0.500 0.287 0.750
```

---

Entry 6:
Starting from a crystal structure in the Materials Project, relaxed with GGA-PBE, the X-ray diffraction stick pattern of LiNb3Bi4O14 was computed for Cu Kα.

Principal peaks in the range 2θ = 5–70°, sorted by position:
2θ (°), I/Imax, index
14.8, 28, 0 0 2
26.9, 14, 2 2 -1
28.5, 100, 4 0 -2
29.8, 27, 0 0 4
33.1, 30, 2 2 -3
33.9, 15, 4 0 2
47.3, 20, 6 2 -1
48.9, 14, 2 2 5
55.5, 11, 4 4 -2
56.3, 15, 6 2 -5

Atomic structure:
```
data_LiNb3Bi4O14
_cell_length_a 13.270
_cell_length_b 7.793
_cell_length_c 12.253
_cell_angle_alpha 90.00
_cell_angle_beta 101.56
_cell_angle_gamma 90.00
_symmetry_space_group_name_H-M 'C 1 2/c 1'
_symmetry_Int_Tables_number 15
loop_
_symmetry_equiv_pos_as_xyz
'x,y,z'
'-x,-y,-z'
'-x,y,-z+1/2'
'x,-y,z+1/2'
'x+1/2,y+1/2,z'
'-x+1/2,-y+1/2,-z'
'-x+1/2,y+1/2,-z+1/2'
'x+1/2,-y+1/2,z+1/2'
loop_
_atom_site_label
_atom_site_type_symbol
_atom_site_fract_x
_atom_site_fract_y
_atom_site_fract_z
Li1 Li 0.000 0.033 0.250
Nb1 Nb 0.000 0.371 0.750
Nb2 Nb 0.248 0.127 0.760
Bi1 Bi 0.116 0.108 0.006
Bi2 Bi 0.117 0.359 0.477
O1 O 0.004 0.356 0.916
O2 O 0.019 0.096 0.411
O3 O 0.107 0.166 0.781
O4 O 0.111 0.465 0.271
O5 O 0.203 0.147 0.587
O6 O 0.204 0.145 0.217
O7 O 0.210 0.442 0.086
```